Entry 1:
Structure and calculated X-ray powder pattern of Tm3Si4Tc2 (a crystal structure in Alexandria, relaxed with PBE; Cu Kα (weighted mean of Kα1 and Kα2)).
Kinematic intensities with the Lorentz-polarization factor, no thermal factor.

Top 6 peaks for 10° ≤ 2θ ≤ 90°, by intensity:
Position (°2θ)  intensity
35.4  100
34.6  98
24.6  59
43.5  46
30.9  43
42.8  41

Crystal structure
```
Tm3Si4Tc2
1.0
5.290 -2.080 0.000
5.290 2.080 0.000
-2.730 0.000 7.598
Tm Si Tc
3 4 2
direct
0.000 0.000 0.000
0.377 0.377 0.304
0.623 0.623 0.696
0.096 0.096 0.418
0.285 0.285 0.927
0.715 0.715 0.073
0.904 0.904 0.582
0.322 0.322 0.650
0.678 0.678 0.350
```

=====

Entry 2:
Structure and calculated X-ray powder pattern of V4SiTc5 (a crystal structure in Alexandria, relaxed with PBE; Cu Kα (weighted mean of Kα1 and Kα2)).
Kinematic intensities with the Lorentz-polarization factor, no thermal factor.

Top 6 peaks for 10° ≤ 2θ ≤ 90°, by intensity:
Position (°2θ)  intensity
42.5  100
42.3  51
77.4  32
29.5  19
61.3  16
77.9  15

Crystal structure
```
V4SiTc5
1.0
3.024 0.000 0.000
0.000 3.024 0.000
0.000 0.000 14.979
V Si Tc
4 1 5
direct
0.000 0.000 0.102
0.000 0.000 0.304
0.000 0.000 0.696
0.000 0.000 0.898
0.000 0.000 0.500
0.500 0.500 0.000
0.500 0.500 0.202
0.500 0.500 0.403
0.500 0.500 0.597
0.500 0.500 0.798
```

=====

Entry 3:
Structure and calculated X-ray powder pattern of VSiTc (a crystal structure in Alexandria, relaxed with PBE; Cu Kα (weighted mean of Kα1 and Kα2)).
Kinematic intensities with the Lorentz-polarization factor, no thermal factor.

Top 6 peaks for 10° ≤ 2θ ≤ 90°, by intensity:
Position (°2θ)  intensity
39.5  100
46.3  65
40.7  40
29.8  36
44.4  35
13.3  24

Crystal structure
```
VSiTc
1.0
-1.514 2.038 6.646
1.514 -2.038 6.646
1.514 2.038 -6.646
V Si Tc
2 2 2
direct
0.000 0.000 0.000
0.827 0.327 0.500
0.356 0.856 0.500
0.648 0.148 0.500
0.173 0.673 0.500
0.502 0.502 0.000
```

=====

Entry 4:
Structure and calculated X-ray powder pattern of VSiTc (a crystal structure in Alexandria, relaxed with PBE; Cu Kα (weighted mean of Kα1 and Kα2)).
Kinematic intensities with the Lorentz-polarization factor, no thermal factor.

Top 6 peaks for 10° ≤ 2θ ≤ 90°, by intensity:
Position (°2θ)  intensity
42.5  100
43.3  89
30.0  59
78.3  29
62.3  29
77.7  16

Crystal structure
```
VSiTc
1.0
4.258 0.000 0.000
-2.129 3.687 0.000
0.000 0.000 5.067
V Si Tc
2 2 2
direct
0.000 0.000 0.000
0.000 0.000 0.500
0.333 0.667 0.307
0.667 0.333 0.693
0.333 0.667 0.806
0.667 0.333 0.194
```

=====

Entry 5:
Structure and calculated X-ray powder pattern of VSiTc (a crystal structure in Alexandria, relaxed with PBE; Cu Kα (weighted mean of Kα1 and Kα2)).
Kinematic intensities with the Lorentz-polarization factor, no thermal factor.

Top 6 peaks for 10° ≤ 2θ ≤ 90°, by intensity:
Position (°2θ)  intensity
40.4  100
40.9  82
43.9  78
44.6  67
40.7  64
48.1  53

Crystal structure
```
VSiTc
1.0
4.489 0.000 0.000
2.206 4.049 0.000
0.712 2.153 4.460
V Si Tc
2 2 2
direct
0.062 0.474 0.262
0.938 0.526 0.738
0.266 0.848 0.773
0.734 0.152 0.227
0.387 0.828 0.267
0.613 0.172 0.733
```

=====

Entry 6:
Structure and calculated X-ray powder pattern of VSiTc (a crystal structure in Alexandria, relaxed with PBE; Cu Kα (weighted mean of Kα1 and Kα2)).
Kinematic intensities with the Lorentz-polarization factor, no thermal factor.

Top 6 peaks for 10° ≤ 2θ ≤ 90°, by intensity:
Position (°2θ)  intensity
39.3  100
46.2  64
40.8  38
45.2  33
13.4  22
62.6  20

Crystal structure
```
VSiTc
1.0
3.078 0.000 0.000
0.000 4.009 0.000
0.000 0.000 6.631
V Si Tc
2 2 2
direct
0.000 0.000 0.000
0.500 0.000 0.324
0.000 0.500 0.271
0.500 0.000 0.697
0.000 0.500 0.633
0.500 0.500 0.977
```

=====

Entry 7:
Structure and calculated X-ray powder pattern of V12Si6Tc (a crystal structure in Alexandria, relaxed with PBE; Cu Kα (weighted mean of Kα1 and Kα2)).
Kinematic intensities with the Lorentz-polarization factor, no thermal factor.

Top 6 peaks for 10° ≤ 2θ ≤ 90°, by intensity:
Position (°2θ)  intensity
41.6  100
48.5  62
41.8  35
85.8  19
71.2  17
70.9  16

Crystal structure
```
V12Si6Tc
1.0
5.797 3.347 2.160
-5.797 3.347 2.160
0.000 -6.694 2.160
V Si Tc
12 6 1
direct
0.022 0.294 0.168
0.168 0.022 0.294
0.236 0.612 0.689
0.294 0.168 0.022
0.311 0.764 0.388
0.388 0.311 0.764
0.612 0.689 0.236
0.689 0.236 0.612
0.706 0.832 0.978
0.764 0.388 0.311
0.832 0.978 0.706
0.978 0.706 0.832
0.069 0.850 0.560
0.150 0.440 0.931
0.440 0.931 0.150
0.560 0.069 0.850
0.850 0.560 0.069
0.931 0.150 0.440
0.500 0.500 0.500
```

=====

Entry 8:
Structure and calculated X-ray powder pattern of Si2TcW (a crystal structure in Alexandria, relaxed with PBE; Cu Kα (weighted mean of Kα1 and Kα2)).
Kinematic intensities with the Lorentz-polarization factor, no thermal factor.

Top 6 peaks for 10° ≤ 2θ ≤ 90°, by intensity:
Position (°2θ)  intensity
37.8  100
29.8  80
48.1  40
42.4  32
30.6  32
41.0  30

Crystal structure
```
Si2TcW
1.0
4.105 0.000 0.000
0.000 1.551 4.402
0.000 -1.551 4.402
Si Tc W
2 1 1
direct
0.000 0.000 0.000
0.500 0.176 0.176
0.000 0.722 0.722
0.500 0.451 0.451
```

=====

Entry 9:
Structure and calculated X-ray powder pattern of Si3Te5 (a crystal structure in Alexandria, relaxed with PBE; Cu Kα (weighted mean of Kα1 and Kα2)).
Kinematic intensities with the Lorentz-polarization factor, no thermal factor.

Top 6 peaks for 10° ≤ 2θ ≤ 90°, by intensity:
Position (°2θ)  intensity
14.2  100
28.3  88
24.8  83
35.4  65
25.3  62
25.9  58

Crystal structure
```
Si3Te5
1.0
3.503 -7.390 0.000
3.503 7.390 0.000
-2.251 0.000 11.705
Si Te
6 10
direct
0.000 0.000 0.000
0.248 0.605 0.069
0.321 0.704 0.442
0.605 0.248 0.069
0.704 0.321 0.442
0.778 0.778 0.724
0.017 0.317 0.477
0.139 0.139 0.818
0.222 0.927 0.131
0.317 0.017 0.477
0.505 0.766 0.267
0.600 0.908 0.628
0.641 0.641 0.912
0.766 0.505 0.267
0.908 0.600 0.628
0.927 0.222 0.131
```

=====

Entry 10:
Structure and calculated X-ray powder pattern of SiTe3 (a crystal structure in Alexandria, relaxed with PBE; Cu Kα (weighted mean of Kα1 and Kα2)).
Kinematic intensities with the Lorentz-polarization factor, no thermal factor.

Top 6 peaks for 10° ≤ 2θ ≤ 90°, by intensity:
Position (°2θ)  intensity
34.2  100
26.2  43
46.3  31
28.4  25
58.8  21
78.0  18

Crystal structure
```
SiTe3
1.0
3.920 0.000 0.000
-1.960 3.395 0.000
0.000 0.000 8.268
Si Te
1 3
direct
0.000 0.000 0.000
0.000 0.000 0.500
0.667 0.333 0.216
0.667 0.333 0.784
```

=====

Entry 11:
Structure and calculated X-ray powder pattern of SiTe (a crystal structure in Alexandria, relaxed with PBE; Cu Kα (weighted mean of Kα1 and Kα2)).
Kinematic intensities with the Lorentz-polarization factor, no thermal factor.

Top 6 peaks for 10° ≤ 2θ ≤ 90°, by intensity:
Position (°2θ)  intensity
24.6  100
28.9  69
43.5  51
32.3  48
23.1  29
53.8  23

Crystal structure
```
SiTe
1.0
1.931 -7.706 0.000
1.931 7.706 0.000
0.000 0.000 4.109
Si Te
2 2
direct
0.039 0.961 0.500
0.961 0.039 0.000
0.356 0.644 0.109
0.644 0.356 0.609
```

=====

Entry 12:
Structure and calculated X-ray powder pattern of SiTe (a crystal structure in Alexandria, relaxed with PBE; Cu Kα (weighted mean of Kα1 and Kα2)).
Kinematic intensities with the Lorentz-polarization factor, no thermal factor.

Top 6 peaks for 10° ≤ 2θ ≤ 90°, by intensity:
Position (°2θ)  intensity
29.3  100
22.3  90
34.1  79
41.1  70
24.6  54
46.7  48

Crystal structure
```
SiTe
1.0
-1.858 1.858 7.987
1.858 -1.858 7.987
1.858 1.858 -7.987
Si Te
2 2
direct
0.076 0.076 0.000
0.924 0.924 0.000
0.370 0.370 0.000
0.630 0.630 0.000
```